PdSeN2Cl: simulated powder diffractogram (copper Kα), based on a GGA-PBE-relaxed structure.
No peak broadening, texture or thermal motion is included.

Crystal structure
```
PdSeN2Cl
1.0
3.834 0.000 0.000
0.000 3.834 0.000
0.000 0.000 6.026
Pd Se N Cl
1 1 2 1
Cartesian
0.000 0.000 0.000
0.000 0.000 3.013
0.000 1.917 0.000
1.917 0.000 0.000
1.917 1.917 3.013
```

Peak list (10 most intense, 10 to 90 degrees two-theta, low angle first)
hkl 1 0 0, d = 3.834 Å, I = 100.0; hkl 1 0 1, d = 3.235 Å, I = 24.6; hkl 0 0 2, d = 3.013 Å, I = 75.8; hkl 1 1 0, d = 2.711 Å, I = 68.0; hkl 1 0 2, d = 2.369 Å, I = 56.2; hkl 1 1 2, d = 2.015 Å, I = 57.5; hkl 2 0 0, d = 1.917 Å, I = 37.9; hkl 2 1 0, d = 1.715 Å, I = 21.2; hkl 2 0 2, d = 1.617 Å, I = 42.4; hkl 2 1 2, d = 1.490 Å, I = 26.6